No. 1
Computed X-ray powder pattern of VH for a wavelength of 1.5418 Å, from a structure optimized by DFT (PBE).
Kinematic intensities with the Lorentz-polarization factor, no thermal factor.

Largest 5 diffraction maxima, low angle first, 2θ from 10° to 90°:
2θ (°)  Rel. int.
39.6  100
46.0  52
67.2  29
80.9  31
85.3  9

Atomic structure:
```
VH
1.0
0.0000 1.9711 1.9711
1.9711 0.0000 1.9711
1.9711 1.9711 0.0000
V H
1 1
Cartesian
0.0000 0.0000 0.0000 V
1.9711 1.9711 1.9711 H
```

---

No. 2
Computed X-ray powder pattern of Mo3WSe4S4 for a wavelength of 1.5418 Å, from a structure optimized by DFT (PBE).
Kinematic intensities with the Lorentz-polarization factor, no thermal factor.

Largest 8 diffraction maxima, low angle first, 2θ from 10° to 90°:
2θ (°)  Rel. int.
12.0  100
14.4  20
31.7  29
34.0  14
37.4  66
40.3  17
45.3  39
56.5  20

Atomic structure:
```
Mo3WSe4S4
1.0
3.2567 0.0000 0.0000
-1.6284 2.8204 0.0000
0.0000 0.0000 36.8689
Mo W Se S
3 1 4 4
Cartesian
0.0000 0.0000 0.0000 Mo
0.0000 0.0000 13.8527 Mo
0.0000 1.8803 6.9279 Mo
0.0000 1.8803 20.7810 W
0.0000 0.0000 19.0731 Se
0.0000 0.0000 22.4891 Se
0.0000 1.8803 1.6983 Se
0.0000 1.8803 35.1725 Se
0.0000 0.0000 5.3849 S
0.0000 0.0000 8.4711 S
0.0000 1.8803 12.3113 S
0.0000 1.8803 15.3968 S
```

---

No. 3
Computed X-ray powder pattern of Zr6CoCl15 for a wavelength of 1.5418 Å, from a structure optimized by DFT (PBE).
Kinematic intensities with the Lorentz-polarization factor, no thermal factor.

Largest 8 diffraction maxima, low angle first, 2θ from 10° to 90°:
2θ (°)  Rel. int.
12.0  100
20.9  19
32.2  19
34.5  84
44.4  20
49.5  54
61.8  17
83.0  21

Atomic structure:
```
Zr6CoCl15
1.0
-5.2034 5.2034 5.2034
5.2034 -5.2034 5.2034
5.2034 5.2034 -5.2034
Zr Co Cl
6 1 15
Cartesian
2.4806 0.0000 0.0000 Zr
7.9262 0.0000 0.0000 Zr
0.0000 2.4806 0.0000 Zr
0.0000 0.0000 2.4806 Zr
0.0000 7.9262 0.0000 Zr
0.0000 0.0000 7.9262 Zr
0.0000 0.0000 0.0000 Co
5.2034 2.6494 -2.6494 Cl
5.2034 0.0000 0.0000 Cl
5.2034 -2.6494 2.6494 Cl
2.6494 5.2034 -2.6494 Cl
2.5540 2.5540 0.0000 Cl
2.5540 0.0000 2.5540 Cl
2.6494 -2.6494 5.2034 Cl
0.0000 2.5540 2.5540 Cl
0.0000 5.2034 0.0000 Cl
0.0000 0.0000 5.2034 Cl
5.2034 2.6494 2.6494 Cl
-2.6494 5.2034 2.6494 Cl
-2.6494 2.6494 5.2034 Cl
2.6494 5.2034 2.6494 Cl
2.6494 2.6494 5.2034 Cl
```